Simulated powder diffractogram of Pm2Nd5Tl4 for copper Kα, from a crystal structure in Alexandria, relaxed with PBE.

Structural model:
Cell lengths 18.4160, 5.4675, 6.8759 Å; angles 90.00, 90.60, 90.00 degrees
Space group C2/m (No. 12)
Unique sites:
1 Pm 0.0931 0.0000 0.0078 x4
2 Nd 0.0000 0.0000 0.5000 x2
3 Nd 0.1375 0.5000 0.6738 x4
4 Nd 0.2229 0.5000 0.1558 x4
5 Tl 0.0352 0.5000 0.2172 x4
6 Tl 0.1833 0.0000 0.4259 x4

Largest 10 diffraction maxima, by angle, 10° ≤ 2θ ≤ 90°:
(1 1 2), 2θ = 31.15°, I = 100
(5 1 -1), 2θ = 31.96°, I = 98
(6 0 1), 2θ = 32.06°, I = 47
(0 2 0), 2θ = 32.75°, I = 51
(4 0 -3), 2θ = 43.95°, I = 17
(6 2 1), 2θ = 46.49°, I = 34
(4 2 -3), 2θ = 55.88°, I = 17
(1 3 2), 2θ = 57.47°, I = 18
(11 1 0), 2θ = 57.58°, I = 17
(5 3 -1), 2θ = 57.97°, I = 18


Simulated powder diffractogram of Sn4PdRh2 for copper Kα, from a crystal structure in Alexandria, relaxed with PBE.

Structural model:
Cell lengths 13.5793, 3.6300, 6.6021 Å; angles 90.00, 116.76, 90.00 degrees
Space group C2/m (No. 12)
Unique sites:
1 Sn 0.1006 0.0000 0.4682 x4
2 Sn 0.1447 0.5000 0.9644 x4
3 Pd 0.0000 0.0000 0.0000 x2
4 Rh 0.2478 0.0000 0.2996 x4

Largest 10 diffraction maxima, by angle, 10° ≤ 2θ ≤ 90°:
(0 0 2), 2θ = 30.32°, I = 31
(4 0 -2), 2θ = 31.39°, I = 38
(1 1 1), 2θ = 31.51°, I = 100
(3 1 -1), 2θ = 32.03°, I = 28
(2 0 2), 2θ = 39.56°, I = 26
(6 0 -1), 2θ = 40.13°, I = 31
(3 1 1), 2θ = 40.72°, I = 57
(5 1 -1), 2θ = 41.55°, I = 52
(3 1 -3), 2θ = 48.40°, I = 52
(0 2 0), 2θ = 50.27°, I = 36


Simulated powder diffractogram of SmFeGe3Os for copper Kα, from a crystal structure in Alexandria, relaxed with PBE.

Structural model:
Cell lengths 7.6462, 10.9595, 5.6609 Å; angles 90.00, 90.00, 90.00 degrees
Space group Cmcm (No. 63)
Unique sites:
1 Sm 0.0000 0.2477 0.2500 x4
2 Fe 0.0000 0.4570 0.7500 x4
3 Ge 0.0000 0.2585 0.7500 x4
4 Ge 0.2384 0.5000 0.0000 x8
5 Os 0.0000 0.0460 0.7500 x4

Largest 10 diffraction maxima, by angle, 10° ≤ 2θ ≤ 90°:
(1 1 0), 2θ = 14.12°, I = 36
(0 2 0), 2θ = 16.18°, I = 22
(2 0 0), 2θ = 23.27°, I = 54
(1 3 1), 2θ = 31.40°, I = 66
(0 0 2), 2θ = 31.61°, I = 25
(0 4 0), 2θ = 32.68°, I = 53
(2 0 2), 2θ = 39.62°, I = 100
(3 3 1), 2θ = 46.30°, I = 23
(4 0 0), 2θ = 47.57°, I = 29
(2 4 2), 2θ = 52.27°, I = 52


Simulated powder diffractogram of SrH8Rh2 for copper Kα, from a crystal structure in Alexandria, relaxed with PBE.

Structural model:
Cell lengths 5.3374, 8.6740, 3.8520 Å; angles 90.00, 90.07, 90.00 degrees
Space group C2/m (No. 12)
Unique sites:
1 Sr 0.0000 0.0000 0.0000 x2
2 H 0.0000 0.3159 0.0000 x4
3 H 0.0026 0.5000 0.7362 x4
4 H 0.1770 0.1510 0.5009 x8
5 Rh 0.0000 0.3266 0.5000 x4

Largest 10 diffraction maxima, by angle, 10° ≤ 2θ ≤ 90°:
(0 0 1), 2θ = 23.09°, I = 25
(1 1 1), 2θ = 30.42°, I = 100
(0 2 1), 2θ = 31.05°, I = 61
(2 0 0), 2θ = 33.58°, I = 52
(1 3 0), 2θ = 35.30°, I = 87
(2 2 1), 2θ = 46.39°, I = 39
(0 0 2), 2θ = 47.19°, I = 20
(2 0 2), 2θ = 59.16°, I = 19
(1 3 2), 2θ = 60.29°, I = 37
(3 3 0), 2θ = 61.13°, I = 38


Simulated powder diffractogram of KMnAg3C6N6 for copper Kα, from a crystal structure in Alexandria, relaxed with PBE.

Structural model:
Cell lengths 7.1175, 7.1175, 7.3708 Å; angles 90.00, 90.00, 120.00 degrees
Space group P312 (No. 149)
Unique sites:
1 K 0.0000 0.0000 0.0000 x1
2 Mn 0.3333 0.6667 0.0000 x1
3 Ag 0.3559 0.1780 0.5000 x3
4 C 0.3437 0.0006 0.2761 x6
5 N 0.1147 0.4512 0.1588 x6

Largest 10 diffraction maxima, by angle, 10° ≤ 2θ ≤ 90°:
(0 0 1), 2θ = 12.01°, I = 49
(1 0 1), 2θ = 18.77°, I = 100
(0 0 2), 2θ = 24.15°, I = 29
(2 -1 1), 2θ = 27.84°, I = 56
(2 0 0), 2θ = 28.97°, I = 58
(2 0 1), 2θ = 31.46°, I = 77
(2 0 2), 2θ = 38.06°, I = 68
(2 0 3), 2θ = 47.32°, I = 19
(4 -2 2), 2θ = 57.52°, I = 27
(2 0 4), 2θ = 58.34°, I = 18


Simulated powder diffractogram of CaBiAuO5 for copper Kα, from a crystal structure in Alexandria, relaxed with PBE.

Structural model:
Cell lengths 8.3890, 10.0633, 6.3632 Å; angles 90.00, 120.23, 90.00 degrees
Space group C2/c (No. 15)
Unique sites:
1 Ca 0.0000 0.0946 0.2500 x4
2 Bi 0.2500 0.2500 0.0000 x4
3 Au 0.0000 0.4346 0.2500 x4
4 O 0.0000 0.1457 0.7500 x4
5 O 0.1671 0.2870 0.2664 x8
6 O 0.2100 0.4389 0.8190 x8

Largest 10 diffraction maxima, by angle, 10° ≤ 2θ ≤ 90°:
(1 1 0), 2θ = 15.06°, I = 39
(1 1 -1), 2θ = 16.99°, I = 16
(1 1 1), 2θ = 26.33°, I = 51
(2 0 -2), 2θ = 29.27°, I = 43
(1 3 -1), 2θ = 30.40°, I = 100
(3 1 -1), 2θ = 33.34°, I = 22
(0 2 2), 2θ = 37.27°, I = 25
(4 2 -2), 2θ = 47.62°, I = 14
(1 5 1), 2θ = 52.08°, I = 14
(3 3 -3), 2θ = 52.62°, I = 18


Simulated powder diffractogram of NaYPbCl6 for copper Kα, from a crystal structure in Alexandria, relaxed with PBE.

Structural model:
Cell lengths 7.0294, 7.0294, 12.4986 Å; angles 90.00, 90.00, 120.00 degrees
Space group P-31c (No. 163)
Unique sites:
1 Na 0.3333 0.6667 0.2500 x2
2 Y 0.3333 0.6667 0.7500 x2
3 Pb 0.0000 0.0000 0.0000 x2
4 Cl 0.0179 0.3568 0.6300 x12

Largest 10 diffraction maxima, by angle, 10° ≤ 2θ ≤ 90°:
(1 0 0), 2θ = 14.55°, I = 26
(1 0 2), 2θ = 20.37°, I = 100
(1 1 0), 2θ = 25.34°, I = 19
(2 -1 2), 2θ = 29.15°, I = 27
(2 0 2), 2θ = 32.73°, I = 31
(1 1 4), 2θ = 38.55°, I = 52
(2 1 2), 2θ = 41.84°, I = 32
(3 0 0), 2θ = 44.66°, I = 25
(4 -1 2), 2θ = 56.45°, I = 14
(4 -2 4), 2θ = 60.44°, I = 13


Please write out number 7 again, unchanged.
Simulated powder diffractogram of NaYPbCl6 for copper Kα, from a crystal structure in Alexandria, relaxed with PBE.

Structural model:
Cell lengths 7.0294, 7.0294, 12.4986 Å; angles 90.00, 90.00, 120.00 degrees
Space group P-31c (No. 163)
Unique sites:
1 Na 0.3333 0.6667 0.2500 x2
2 Y 0.3333 0.6667 0.7500 x2
3 Pb 0.0000 0.0000 0.0000 x2
4 Cl 0.0179 0.3568 0.6300 x12

Largest 10 diffraction maxima, by angle, 10° ≤ 2θ ≤ 90°:
(1 0 0), 2θ = 14.55°, I = 26
(1 0 2), 2θ = 20.37°, I = 100
(1 1 0), 2θ = 25.34°, I = 19
(2 -1 2), 2θ = 29.15°, I = 27
(2 0 2), 2θ = 32.73°, I = 31
(1 1 4), 2θ = 38.55°, I = 52
(2 1 2), 2θ = 41.84°, I = 32
(3 0 0), 2θ = 44.66°, I = 25
(4 -1 2), 2θ = 56.45°, I = 14
(4 -2 4), 2θ = 60.44°, I = 13